The following is a simulated XRD peak list of ZnBP2H4NO8. It was derived from a PBE-relaxed structure, using Cu Kα X-rays.
Peak positions follow from Bragg's law for the DFT cell and can differ from measured ones.

Principal peaks in the range 2θ from 15° to 90°, in order of rising 2θ:
- 2θ = 15.14°, intensity 675, (1 1 1)
- 2θ = 15.27°, intensity 1000, (1 1 0)
- 2θ = 23.87°, intensity 364, (1 1 -1)
- 2θ = 24.46°, intensity 603, (2 1 1)
- 2θ = 28.70°, intensity 421, (1 -1 1)
- 2θ = 29.48°, intensity 573, (-1 1 2)

Structural model:
a = 7.522 Å, b = 7.742 Å, c = 7.913 Å
α = 61.01°, β = 76.99°, γ = 65.23°
Space group P-1 (No. 2)
Symmetry-distinct sites (fractional):
Zn (0.193, 0.253, 0.454)
B (0.302, 0.917, 0.004)
P (0.024, 0.729, 0.167)
P (0.463, 0.912, 0.298)
H (0.149, 0.568, 0.769)
H (0.258, 0.748, 0.619)
H (0.266, 0.651, 0.859)
H (0.395, 0.490, 0.749)
N (0.267, 0.614, 0.749)
O (0.005, 0.781, 0.333)
O (0.054, 0.499, 0.223)
O (0.159, 0.130, 0.967)
O (0.210, 0.768, 0.034)
O (0.277, 0.011, 0.396)
O (0.390, 0.283, 0.553)
O (0.415, 0.825, 0.177)
O (0.444, 0.915, 0.839)